H2Br: calculated powder diffraction line list (Cu Kα X-rays), based on a GGA-PBE-relaxed structure.
Intensities are scaled so that the largest is 1000.

The 6 most intense peaks (2θ from 10° to 80°), sorted by position:
hkl  2theta  d/Å  intensity
0 0 1  12.1  7.341  584
1 0 0  21.0  4.235  316
1 0 1  21.7  4.094  550
1 1 1  25.1  3.544  577
1 0 -1  26.6  3.353  1000
1 0 2  28.3  3.151  812

Cell and atoms:
a = 4.4924 Å, b = 4.5031 Å, c = 7.8603 Å
α = 73.52°, β = 73.57°, γ = 75.24°
Space group P1 (No. 1)
One atom of each set of equivalent atoms:
H (0.0000, 0.0000, 0.0000) [1 per cell]
H (0.0801, 0.3682, 0.4418) [1 per cell]
H (0.5466, 0.8347, 0.5238) [1 per cell]
H (0.9124, 0.9142, 0.9668) [1 per cell]
Br (0.3326, 0.2301, 0.3050) [1 per cell]
Br (0.6849, 0.5822, 0.6606) [1 per cell]